Simulated powder X-ray diffraction pattern of Ca8Ti3Mn5O23 for Cu Kα (weighted mean of Kα1 and Kα2), from a crystal structure in Alexandria, relaxed with GGA+U.
Peak positions follow from Bragg's law for the DFT cell and can differ from measured ones.

Largest 12 diffraction maxima, sorted by position, 10° ≤ 2θ ≤ 90°:
2θ (°)	Rel. int.	hkl
23.16	15	2 0 0
32.81	100	2 0 2
32.99	44	2 2 0
40.54	7	2 2 2
46.81	20	0 0 4
47.34	48	0 4 0
58.45	19	2 2 4
58.79	31	2 4 2
68.78	20	0 4 4
69.19	12	4 4 0
78.74	8	0 6 2
87.73	9	4 4 4

Atomic structure:
Unit cell a=7.680 b=7.682 c=7.762 alpha=90.00 beta=90.00 gamma=90.00
Space group Pmm2 (No. 25)
Symmetry-distinct sites (fractional):
1 Ca 0.231 0.247 0.000
2 Ca 0.232 0.229 0.496
3 Ti 0.500 0.000 0.217
4 Ti 0.500 0.500 0.255
5 Ti 0.500 0.500 0.732
6 Mn 0.000 0.000 0.240
7 Mn 0.000 0.000 0.744
8 Mn 0.000 0.500 0.253
9 Mn 0.000 0.500 0.758
10 Mn 0.500 0.000 0.725
11 O 0.000 0.000 0.490
12 O 0.000 0.000 0.992
13 O 0.000 0.249 0.252
14 O 0.000 0.251 0.746
15 O 0.000 0.500 0.010
16 O 0.000 0.500 0.507
17 O 0.249 0.000 0.237
18 O 0.250 0.000 0.721
19 O 0.250 0.500 0.249
20 O 0.288 0.500 0.839
21 O 0.500 0.000 0.468
22 O 0.500 0.000 0.969
23 O 0.500 0.248 0.709
24 O 0.500 0.262 0.179
25 O 0.500 0.500 0.487